1.
For Ho5Si2B8, a structure optimized by DFT (PBE) gives the computed X-ray diffraction stick pattern in this record (Cu Ka).
Intensities are scaled so that the largest is 100.

Crystal structure
a = 7.2077 Å, b = 7.2077 Å, c = 8.0496 Å
α = 90.00°, β = 90.00°, γ = 90.00°
Atoms (fractional coordinates):
Ho 0.0000 0.0000 0.0000
Ho 0.1806 0.3194 0.2763
Ho 0.1806 0.3194 0.7237
Ho 0.3194 0.8194 0.2763
Ho 0.3194 0.8194 0.7237
Ho 0.5000 0.5000 0.0000
Ho 0.6806 0.1806 0.2763
Ho 0.6806 0.1806 0.7237
Ho 0.8194 0.6806 0.2763
Ho 0.8194 0.6806 0.7237
Si 0.1155 0.6155 0.0000
Si 0.3845 0.1155 0.0000
Si 0.6155 0.8845 0.0000
Si 0.8845 0.3845 0.0000
B 0.0000 0.0000 0.3366
B 0.0000 0.0000 0.6634
B 0.0393 0.8275 0.5000
B 0.0900 0.5900 0.5000
B 0.1725 0.0393 0.5000
B 0.3275 0.5393 0.5000
B 0.4100 0.0900 0.5000
B 0.4607 0.3275 0.5000
B 0.5000 0.5000 0.3366
B 0.5000 0.5000 0.6634
B 0.5393 0.6725 0.5000
B 0.5900 0.9100 0.5000
B 0.6725 0.4607 0.5000
B 0.8275 0.9607 0.5000
B 0.9100 0.4100 0.5000
B 0.9607 0.1725 0.5000

Top 6 peaks for 2θ = 10–90°, by angle:
2θ/deg  d/Å  I (rel.)
27.7  3.223  67
33.4  2.685  100
35.7  2.516  98
39.5  2.279  35
52.3  1.748  27
57.5  1.603  31

2.
For HoTaB2, a structure optimized by DFT (PBE) gives the computed X-ray diffraction stick pattern in this record (Cu Ka).
Intensities are scaled so that the largest is 100.

Crystal structure
a = 6.1479 Å, b = 6.1479 Å, c = 6.1479 Å
α = 32.44°, β = 32.44°, γ = 32.44°
Atoms (fractional coordinates):
Ho 0.0000 0.0000 0.0000
Ta 0.5000 0.5000 0.5000
B 0.2356 0.2356 0.2356
B 0.7644 0.7644 0.7644

Top 6 peaks for 2θ = 10–90°, by angle:
2θ/deg  d/Å  I (rel.)
30.7  2.910  37
31.8  2.816  100
36.6  2.458  83
52.0  1.760  30
53.3  1.718  28
62.8  1.479  30

3.
For Ho2TcB10, a structure optimized by DFT (PBE) gives the computed X-ray diffraction stick pattern in this record (Cu Ka).
Intensities are scaled so that the largest is 100.

Crystal structure
a = 5.7372 Å, b = 11.3967 Å, c = 4.1535 Å
α = 90.00°, β = 90.00°, γ = 90.00°
Atoms (fractional coordinates):
Ho 0.2235 0.1321 0.0000
Ho 0.2765 0.6321 0.0000
Ho 0.7235 0.3679 0.0000
Ho 0.7765 0.8679 0.0000
Tc 0.0000 0.5000 0.5000
Tc 0.5000 0.0000 0.5000
B 0.0631 0.3068 0.5000
B 0.1197 0.9591 0.5000
B 0.1278 0.8024 0.5000
B 0.2277 0.3806 0.1997
B 0.2277 0.3806 0.8003
B 0.2723 0.8806 0.1997
B 0.2723 0.8806 0.8003
B 0.3722 0.3024 0.5000
B 0.3803 0.4591 0.5000
B 0.4369 0.8068 0.5000
B 0.5631 0.1932 0.5000
B 0.6197 0.5409 0.5000
B 0.6278 0.6976 0.5000
B 0.7277 0.1194 0.1997
B 0.7277 0.1194 0.8003
B 0.7723 0.6194 0.1997
B 0.7723 0.6194 0.8003
B 0.8722 0.1976 0.5000
B 0.8803 0.0409 0.5000
B 0.9369 0.6932 0.5000

Top 6 peaks for 2θ = 10–90°, by angle:
2θ/deg  d/Å  I (rel.)
22.0  4.043  74
30.9  2.897  100
38.1  2.360  49
38.3  2.350  52
44.8  2.021  31
49.3  1.847  27

4.
For HoTmB4, a structure optimized by DFT (PBE) gives the computed X-ray diffraction stick pattern in this record (Cu Ka).
Intensities are scaled so that the largest is 100.

Crystal structure
a = 6.2474 Å, b = 6.2474 Å, c = 6.2474 Å
α = 147.21°, β = 147.21°, γ = 47.06°
Atoms (fractional coordinates):
Ho 0.0000 0.0000 0.0000
Tm 0.7500 0.2500 0.5000
B 0.1715 0.6715 0.5000
B 0.3285 0.8285 0.5000
B 0.4204 0.4204 0.0000
B 0.5796 0.5796 0.0000

Top 6 peaks for 2θ = 10–90°, by angle:
2θ/deg  d/Å  I (rel.)
26.4  3.371  100
31.2  2.864  37
34.6  2.591  60
39.4  2.287  95
47.3  1.921  29
51.8  1.764  23

5.
For B5I, a structure optimized by DFT (PBE) gives the computed X-ray diffraction stick pattern in this record (Cu Ka).
Intensities are scaled so that the largest is 100.

Crystal structure
a = 6.7651 Å, b = 6.7651 Å, c = 10.7101 Å
α = 94.90°, β = 94.90°, γ = 126.86°
Atoms (fractional coordinates):
B 0.0267 0.7166 0.7678
B 0.0556 0.4475 0.9537
B 0.0870 0.5060 0.8123
B 0.0952 0.4506 0.1115
B 0.2817 0.4345 0.2234
B 0.2834 0.9733 0.7322
B 0.4345 0.2817 0.7234
B 0.4475 0.0556 0.4537
B 0.4506 0.0952 0.6115
B 0.4940 0.9130 0.6877
B 0.5060 0.0870 0.3123
B 0.5494 0.9048 0.3885
B 0.5525 0.9444 0.5463
B 0.5655 0.7183 0.2766
B 0.7166 0.0267 0.2678
B 0.7183 0.5655 0.7766
B 0.9048 0.5494 0.8885
B 0.9130 0.4940 0.1877
B 0.9444 0.5525 0.0463
B 0.9733 0.2834 0.2322
I 0.1274 0.3281 0.6437
I 0.3281 0.1274 0.1437
I 0.6719 0.8726 0.8563
I 0.8726 0.6719 0.3563

Top 6 peaks for 2θ = 10–90°, by angle:
2θ/deg  d/Å  I (rel.)
16.9  5.246  100
21.6  4.113  80
25.8  3.458  55
28.9  3.087  37
30.1  2.970  41
33.2  2.696  39

6.
For BI3, a structure optimized by DFT (PBE) gives the computed X-ray diffraction stick pattern in this record (Cu Ka).
Intensities are scaled so that the largest is 100.

Crystal structure
a = 7.4759 Å, b = 7.4759 Å, c = 8.4498 Å
α = 90.00°, β = 90.00°, γ = 120.00°
Atoms (fractional coordinates):
B 0.3333 0.6667 0.2500
B 0.6667 0.3333 0.7500
I 0.0660 0.3671 0.2500
I 0.3011 0.9340 0.2500
I 0.3671 0.3011 0.7500
I 0.6329 0.6989 0.2500
I 0.6989 0.0660 0.7500
I 0.9340 0.6329 0.7500

Top 6 peaks for 2θ = 10–90°, by angle:
2θ/deg  d/Å  I (rel.)
17.3  5.139  24
21.0  4.225  52
23.8  3.738  19
26.1  3.418  100
40.1  2.249  31
42.7  2.118  21

7.
For BIrI, a structure optimized by DFT (PBE) gives the computed X-ray diffraction stick pattern in this record (Cu Ka).
Intensities are scaled so that the largest is 100.

Crystal structure
a = 5.7171 Å, b = 9.8977 Å, c = 5.0162 Å
α = 90.00°, β = 90.00°, γ = 90.00°
Atoms (fractional coordinates):
B 0.1312 0.1199 0.0000
B 0.3688 0.1199 0.5000
B 0.6312 0.8801 0.0000
B 0.8688 0.8801 0.5000
Ir 0.1492 0.9869 0.6915
Ir 0.3508 0.9869 0.1915
Ir 0.6492 0.0131 0.6915
Ir 0.8508 0.0131 0.1915
I 0.0018 0.6812 0.5785
I 0.4982 0.6812 0.0785
I 0.5018 0.3188 0.5785
I 0.9982 0.3188 0.0785

Top 6 peaks for 2θ = 10–90°, by angle:
2θ/deg  d/Å  I (rel.)
25.3  3.524  84
27.0  3.299  100
36.2  2.484  35
37.3  2.409  60
40.6  2.220  47
45.7  1.984  35

8.
For La4B4I5, a structure optimized by DFT (PBE) gives the computed X-ray diffraction stick pattern in this record (Cu Ka).
Intensities are scaled so that the largest is 100.

Crystal structure
a = 10.0493 Å, b = 10.0493 Å, c = 10.4797 Å
α = 104.93°, β = 104.93°, γ = 25.04°
Atoms (fractional coordinates):
La 0.0000 0.0000 0.0000
La 0.0051 0.0051 0.4902
La 0.3703 0.3703 0.1802
La 0.6349 0.6349 0.3101
B 0.1871 0.8181 0.2451
B 0.5022 0.5022 0.1523
B 0.5030 0.5030 0.3380
B 0.8181 0.1871 0.2451
I 0.1762 0.1762 0.1002
I 0.1781 0.1781 0.5552
I 0.5029 0.5029 0.7453
I 0.8271 0.8271 0.9351
I 0.8289 0.8289 0.3902

Top 6 peaks for 2θ = 10–90°, by angle:
2θ/deg  d/Å  I (rel.)
26.6  3.350  100
28.3  3.154  32
29.1  3.068  22
31.3  2.857  20
34.2  2.620  25
39.2  2.297  46

Repeat the fourth record exactly.
For HoTmB4, a structure optimized by DFT (PBE) gives the computed X-ray diffraction stick pattern in this record (Cu Ka).
Intensities are scaled so that the largest is 100.

Crystal structure
a = 6.2474 Å, b = 6.2474 Å, c = 6.2474 Å
α = 147.21°, β = 147.21°, γ = 47.06°
Atoms (fractional coordinates):
Ho 0.0000 0.0000 0.0000
Tm 0.7500 0.2500 0.5000
B 0.1715 0.6715 0.5000
B 0.3285 0.8285 0.5000
B 0.4204 0.4204 0.0000
B 0.5796 0.5796 0.0000

Top 6 peaks for 2θ = 10–90°, by angle:
2θ/deg  d/Å  I (rel.)
26.4  3.371  100
31.2  2.864  37
34.6  2.591  60
39.4  2.287  95
47.3  1.921  29
51.8  1.764  23

> Which formula does entry 5 have?

B5I